Calculated powder XRD pattern
Compound: CdInAgF6
Radiation: copper Kα
Structure: the PBE geometry in Alexandria
No peak broadening, texture or thermal motion is included.

Atomic structure:
Cell: 5.268 5.268 10.629 Å, 90.00 90.00 90.00°
Space group P4_2nm (No. 102)
One atom of each set of equivalent atoms:
1 Cd 0.000 0.000 0.000 (multiplicity 2)
2 In 0.000 0.000 0.665 (multiplicity 2)
3 Ag 0.000 0.000 0.331 (multiplicity 2)
4 F 0.178 0.178 0.822 (multiplicity 4)
5 F 0.199 0.199 0.523 (multiplicity 4)
6 F 0.217 0.217 0.151 (multiplicity 4)

Peak list (10 most intense, 2θ from 10° to 90°, by angle)
hkl, d_spacing, 2θ/deg, Rel. int.
1 1 0, 3.725, 23.9, 1000
1 0 3, 2.940, 30.4, 798
2 0 0, 2.634, 34.0, 197
2 1 3, 1.962, 46.3, 701
2 2 0, 1.862, 48.9, 184
3 1 0, 1.666, 55.1, 149
1 1 6, 1.600, 57.6, 162
3 0 3, 1.573, 58.7, 217
3 2 3, 1.351, 69.6, 122
4 1 3, 1.202, 79.8, 115